Starting from a DFT-relaxed cell (GGA-PBE, OQMD), the X-ray diffraction stick pattern of Nb3PbO6 was computed for Cu Ka.
Intensities are scaled so that the largest is 1000.

Peak list (10 most intense, 10 to 90 degrees two-theta, in order of rising 2θ)
2θ/deg	d (Å)	Rel. int.
13.85	6.393	203
20.03	4.434	616
24.43	3.643	769
27.91	3.196	375
34.59	2.593	322
35.05	2.560	724
45.39	1.998	1000
62.88	1.478	219
69.32	1.356	234
70.15	1.341	183

Structural model:
```
data_Nb3PbO6
_chemical_formula_sum 'Nb6 Pb2 O12'
_cell_length_a 5.1197
_cell_length_b 5.1197
_cell_length_c 12.7852
_cell_angle_alpha 90.00
_cell_angle_beta 90.00
_cell_angle_gamma 120.00
_space_group_name_H-M_alt 'P 63/m c m'
_space_group_IT_number 193
_space_group_name_Hall '-P 6c 2'
loop_
_atom_site_label
_atom_site_type_symbol
_atom_site_fract_x
_atom_site_fract_y
_atom_site_fract_z
Nb1 Nb 0.0000 0.0000 0.2500
Nb2 Nb 0.3333 0.6667 0.2500
Pb1 Pb 0.0000 0.0000 0.0000
O1 O 0.0000 0.3323 0.1511
```

Starting from a DFT-relaxed cell (GGA-PBE, OQMD), the X-ray diffraction stick pattern of TmNbPb2O6 was computed for Cu Ka.
Intensities are scaled so that the largest is 1000.

Peak list (10 most intense, 10 to 90 degrees two-theta, in order of rising 2θ)
2θ/deg	d (Å)	Rel. int.
30.45	2.936	1000
30.88	2.895	527
42.94	2.106	146
44.24	2.047	248
53.83	1.703	227
54.65	1.679	438
63.36	1.468	167
87.56	1.114	124
88.68	1.103	131
89.35	1.096	109

Structural model:
```
data_TmNbPb2O6
_chemical_formula_sum 'Tm2 Nb2 Pb4 O12'
_cell_length_a 5.7905
_cell_length_b 5.7905
_cell_length_c 8.4241
_cell_angle_alpha 90.00
_cell_angle_beta 90.00
_cell_angle_gamma 90.00
_space_group_name_H-M_alt 'I 4/m'
_space_group_IT_number 87
_space_group_name_Hall '-I 4'
loop_
_atom_site_label
_atom_site_type_symbol
_atom_site_fract_x
_atom_site_fract_y
_atom_site_fract_z
Tm1 Tm 0.0000 0.0000 0.0000
Nb1 Nb 0.0000 0.0000 0.5000
Pb1 Pb 0.0000 0.5000 0.2500
O1 O 0.0000 0.0000 0.2607
O2 O 0.1774 0.2985 0.5000
```

Starting from a DFT-relaxed cell (GGA-PBE, OQMD), the X-ray diffraction stick pattern of Rb4Nb2O5 was computed for Cu Ka.
Intensities are scaled so that the largest is 1000.

Peak list (10 most intense, 10 to 90 degrees two-theta, in order of rising 2θ)
2θ/deg	d (Å)	Rel. int.
18.92	4.691	245
26.13	3.410	931
28.61	3.120	1000
28.96	3.084	698
29.57	3.021	224
37.29	2.412	432
44.77	2.024	173
47.40	1.918	180
47.70	1.907	237
59.24	1.560	154

Structural model:
```
data_Rb4Nb2O5
_chemical_formula_sum 'Rb8 Nb4 O10'
_cell_length_a 10.5077
_cell_length_b 6.8132
_cell_length_c 7.9985
_cell_angle_alpha 90.00
_cell_angle_beta 99.16
_cell_angle_gamma 90.00
_space_group_name_H-M_alt 'C 1 m 1'
_space_group_IT_number 8
loop_
_space_group_symop_operation_xyz
'x,y,z'
'x,-y,z'
'x+1/2,y+1/2,z'
'x+1/2,-y+1/2,z'
loop_
_atom_site_label
_atom_site_type_symbol
_atom_site_fract_x
_atom_site_fract_y
_atom_site_fract_z
Rb1 Rb 0.0000 0.0000 0.0000
Rb2 Rb 0.0032 0.0000 0.5057
Rb3 Rb 0.1820 0.5000 0.1379
Rb4 Rb 0.3216 0.0000 0.8384
Nb1 Nb 0.1237 0.5000 0.6806
Nb2 Nb 0.4013 0.0000 0.3099
O1 O 0.0763 0.5000 0.4354
O2 O 0.1128 0.2738 0.8038
O3 O 0.3681 0.2235 0.1825
```

Starting from a DFT-relaxed cell (GGA-PBE, OQMD), the X-ray diffraction stick pattern of Rb2NbO4 was computed for Cu Ka.
Intensities are scaled so that the largest is 1000.

Peak list (10 most intense, 10 to 90 degrees two-theta, in order of rising 2θ)
2θ/deg	d (Å)	Rel. int.
24.24	3.671	302
28.51	3.131	1000
29.80	2.998	143
34.55	2.596	109
42.65	2.120	109
45.38	1.999	303
49.66	1.836	402
58.26	1.584	118
69.53	1.352	239
80.02	1.199	112

Structural model:
Lattice parameters (Å, degrees): 10.3845 10.3845 10.3845 90.00 90.00 90.00
Space group Fd-3m (No. 227, origin choice 2)
Asymmetric unit:
Rb (0.0000, 0.0000, 0.0000)
Nb (0.1250, 0.1250, 0.6250)
O (0.0205, 0.0205, 0.7295)

Starting from a DFT-relaxed cell (GGA-PBE, OQMD), the X-ray diffraction stick pattern of Rb3NbO4 was computed for Cu Ka.
Intensities are scaled so that the largest is 1000.

Peak list (10 most intense, 10 to 90 degrees two-theta, in order of rising 2θ)
2θ/deg	d (Å)	Rel. int.
18.01	4.924	47
25.58	3.482	1000
36.49	2.462	957
45.10	2.010	327
52.56	1.741	121
59.35	1.557	464
65.68	1.422	308
77.54	1.231	111
83.24	1.161	208
88.87	1.101	131

Structural model:
```
data_Rb3NbO4
_chemical_formula_sum 'Rb6 Nb2 O8'
_cell_length_a 6.9642
_cell_length_b 6.9642
_cell_length_c 6.9642
_cell_angle_alpha 90.00
_cell_angle_beta 90.00
_cell_angle_gamma 90.00
_space_group_name_H-M_alt 'I -4 3 m'
_space_group_IT_number 217
_space_group_name_Hall 'I -4 2 3'
loop_
_atom_site_label
_atom_site_type_symbol
_atom_site_fract_x
_atom_site_fract_y
_atom_site_fract_z
Rb1 Rb 0.0000 0.0000 0.5000
Nb1 Nb 0.0000 0.0000 0.0000
O1 O 0.1563 0.1563 0.8437
```

Starting from a DFT-relaxed cell (GGA-PBE, OQMD), the X-ray diffraction stick pattern of RbNbSeO was computed for Cu Ka.
Intensities are scaled so that the largest is 1000.

Peak list (10 most intense, 10 to 90 degrees two-theta, in order of rising 2θ)
2θ/deg	d (Å)	Rel. int.
24.23	3.674	480
26.37	3.380	261
26.79	3.328	420
29.99	2.979	1000
30.70	2.912	362
33.35	2.686	399
34.52	2.598	510
35.18	2.551	970
47.86	1.901	426
52.24	1.751	302

Structural model:
```
data_RbNbSeO
_chemical_formula_sum 'Rb4 Nb4 Se4 O4'
_cell_length_a 5.0809
_cell_length_b 5.8249
_cell_length_c 13.9139
_cell_angle_alpha 90.00
_cell_angle_beta 91.41
_cell_angle_gamma 90.00
_space_group_name_H-M_alt 'P 1 21 1'
_space_group_IT_number 4
loop_
_space_group_symop_operation_xyz
'x,y,z'
'-x,y+1/2,-z'
loop_
_atom_site_label
_atom_site_type_symbol
_atom_site_fract_x
_atom_site_fract_y
_atom_site_fract_z
Rb1 Rb 0.0948 0.0002 0.1616
Rb2 Rb 0.4018 0.0000 0.8377
Nb1 Nb 0.0670 0.3439 0.5621
Nb2 Nb 0.4342 0.3433 0.4380
Se1 Se 0.1003 0.4963 0.3048
Se2 Se 0.4025 0.4971 0.6951
O1 O 0.2493 0.0529 0.5003
O2 O 0.2502 0.6347 0.5002
```